Calculated X-ray diffraction stick pattern
Compound: Tb3Pm5Pr
Radiation: Cu Kα
Structure: a DFT-relaxed cell (PBE, Alexandria)

Largest 10 diffraction maxima, in order of rising 2θ, 15° ≤ 2θ ≤ 90°:
d [Å]	Position (°2θ)	Rel. int.	h k l
3.095	28.8	36	1 3 0
2.958	30.2	100	6 0 0
2.748	32.6	36	2 2 2
2.422	37.1	18	4 2 2
2.354	38.2	20	5 3 0
1.829	49.9	10	0 0 4
1.761	51.9	12	8 2 2
1.709	53.6	11	9 1 2
1.613	57.1	18	3 5 2
1.556	59.4	11	6 0 4

Cell and atoms:
Unit cell a=17.772 b=9.429 c=7.314 alpha=90.00 beta=90.00 gamma=90.00
Space group Cmcm (No. 63)
One atom of each set of equivalent atoms:
Tb: 0.000 0.000 0.000
Tb: 0.179 0.000 0.250
Pm: 0.000 0.332 0.250
Pm: 0.165 0.323 0.000
Pr: 0.000 0.304 0.750